The following is a computed X-ray powder pattern of EuSb12Os4. It was derived from a structure optimized by DFT (PBE), using λ = 1.5418 Å (Cu Kα).

Cell: 9.6590 9.6590 9.6590 Å, 90.00 90.00 90.00°
Space group Im-3 (No. 204)
Inequivalent atoms, fractional coordinates:
Eu1 0.0000 0.0000 0.0000
Sb1 0.0000 0.1569 0.3396
Os1 0.2500 0.2500 0.2500

The 10 most intense peaks (2θ from 10° to 90°), by angle:
two_theta, I_rel, hkl
18.37, 27, 2 0 0
26.09, 31, 2 2 0
29.24, 100, 3 1 0
34.75, 47, 3 2 1
41.82, 51, 4 0 2
46.03, 62, 4 2 2
48.03, 29, 4 1 3
60.63, 17, 6 2 0
65.55, 18, 6 3 1
85.26, 25, 6 6 0

The following is a computed X-ray powder pattern of Eu3P. It was derived from a structure optimized by DFT (PBE), using λ = 1.5418 Å (Cu Kα).

Cell: 7.0093 7.0093 5.2443 Å, 90.00 90.00 120.00°
Space group P6_3/mmc (No. 194)
Inequivalent atoms, fractional coordinates:
Eu1 0.1797 0.3594 0.2500
P1 0.3333 0.6667 0.7500

The 10 most intense peaks (2θ from 10° to 90°), by angle:
two_theta, I_rel, hkl
22.40, 23, 1 0 1
25.41, 6, 1 1 0
29.43, 20, 2 0 0
34.14, 100, 0 0 2
39.27, 7, 2 1 0
45.73, 12, 2 0 2
52.20, 14, 2 2 0
61.18, 15, 2 0 3
63.88, 27, 2 2 2
86.93, 8, 4 2 1

The following is a computed X-ray powder pattern of EuP. It was derived from a structure optimized by DFT (PBE), using λ = 1.5418 Å (Cu Kα).

Cell: 5.8798 5.8798 5.8798 Å, 90.00 90.00 90.00°
Space group Fm-3m (No. 225)
Inequivalent atoms, fractional coordinates:
Eu1 0.0000 0.0000 0.0000
P1 0.0000 0.0000 0.5000

The 10 most intense peaks (2θ from 10° to 90°), by angle:
two_theta, I_rel, hkl
26.25, 83, 1 1 1
30.40, 100, 2 0 0
43.54, 74, 2 2 0
51.55, 41, 3 1 1
54.03, 26, 2 2 2
63.26, 12, 4 0 0
69.71, 17, 3 3 1
71.80, 33, 4 2 0
79.93, 25, 4 2 2
85.89, 13, 5 1 1

The following is a computed X-ray powder pattern of Eu3P4. It was derived from a structure optimized by DFT (PBE), using λ = 1.5418 Å (Cu Kα).

Cell: 14.0561 16.9336 5.6840 Å, 90.00 90.00 90.00°
Space group Fdd2 (No. 43)
Inequivalent atoms, fractional coordinates:
Eu1 0.0000 0.0000 0.0000
Eu2 0.0015 0.1673 0.5107
P1 0.0843 0.0005 0.5013
P2 0.0880 0.1707 0.0055

The 10 most intense peaks (2θ from 10° to 90°), by angle:
two_theta, I_rel, hkl
23.09, 99, 1 3 1
25.35, 49, 4 0 0
29.34, 100, 3 3 1
34.03, 83, 2 0 2
34.24, 82, 2 6 0
39.15, 69, 5 3 1
45.28, 47, 0 6 2
50.87, 30, 7 3 1
52.60, 28, 4 6 2
61.24, 18, 5 3 3

The following is a computed X-ray powder pattern of EuP7. It was derived from a structure optimized by DFT (PBE), using λ = 1.5418 Å (Cu Kα).

Cell: 10.7102 5.7560 13.3802 Å, 90.00 124.09 90.00°
Space group P2_1/c (No. 14)
Inequivalent atoms, fractional coordinates:
Eu1 0.2479 0.1070 0.2855
P1 0.0052 0.0410 0.5851
P2 0.0381 0.2035 0.8626
P3 0.2109 0.0541 0.0415
P4 0.2160 0.7071 0.9698
P5 0.3643 0.5951 0.2778
P6 0.4157 0.5669 0.1385
P7 0.4178 0.2186 0.0651

The 10 most intense peaks (2θ from 10° to 90°), by angle:
two_theta, I_rel, hkl
17.66, 68, 1 1 -1
18.37, 53, 1 1 0
20.02, 52, 2 0 0
22.22, 63, 1 1 1
26.73, 88, 2 0 -4
27.97, 42, 1 1 2
29.45, 65, 3 1 -2
30.78, 96, 3 1 -1
32.14, 100, 0 2 1
35.56, 45, 2 2 -1

The following is a computed X-ray powder pattern of EuPPt. It was derived from a structure optimized by DFT (PBE), using λ = 1.5418 Å (Cu Kα).

Cell: 4.1399 4.1399 4.3072 Å, 90.00 90.00 120.00°
Space group P-6m2 (No. 187)
Inequivalent atoms, fractional coordinates:
Eu1 0.0000 0.0000 0.0000
P1 0.6667 0.3333 0.5000
Pt1 0.3333 0.6667 0.5000

The 10 most intense peaks (2θ from 10° to 90°), by angle:
two_theta, I_rel, hkl
24.83, 23, 1 0 0
32.49, 100, 1 0 1
41.95, 13, 0 0 2
43.73, 35, 1 1 0
49.36, 8, 1 0 2
55.52, 22, 2 0 1
62.21, 25, 1 1 2
70.68, 11, 1 0 3
73.22, 20, 2 1 1
86.93, 6, 2 0 3